No. 1
Structure and simulated X-ray powder pattern of Ho6In6Sn (a DFT-relaxed cell (PBE, Alexandria); Cu Ka).
Lines closer than 0.1° are merged.

Top 8 peaks for 10 to 90 degrees two-theta, by angle:
hkl 1 1 0, d 3.177, 2θ 28.09, rel. 58; hkl 2 0 0, d 2.751, 2θ 32.55, rel. 36; hkl 1 1 2, d 2.710, 2θ 33.06, rel. 60; hkl 0 0 4, d 2.596, 2θ 34.55, rel. 35; hkl 2 0 2, d 2.431, 2θ 36.98, rel. 100; hkl 2 2 0, d 1.588, 2θ 58.07, rel. 33; hkl 1 1 6, d 1.520, 2θ 60.96, rel. 26; hkl 2 2 4, d 1.355, 2θ 69.36, rel. 27

Structure:
Lattice parameters (Å, degrees): 6.3532 6.3532 10.3853 90.00 90.00 120.00
Space group P6/mmm (No. 191)
Asymmetric unit:
Ho: 0.0000 0.0000 0.1920 [2 per cell]
Ho: 0.3333 0.6667 0.0000 [2 per cell]
Ho: 0.3333 0.6667 0.5000 [2 per cell]
In: 0.0000 0.5000 0.2484 [6 per cell]
Sn: 0.0000 0.0000 0.5000 [1 per cell]

---

No. 2
Structure and simulated X-ray powder pattern of NaAg4Br5 (a DFT-relaxed cell (PBE, Alexandria); Cu Ka).
Lines closer than 0.1° are merged.

Top 8 peaks for 10 to 90 degrees two-theta, by angle:
hkl 1 0 0, d 3.913, 2θ 22.73, rel. 100; hkl 0 0 10, d 3.637, 2θ 24.48, rel. 56; hkl 1 0 5, d 3.446, 2θ 25.86, rel. 59; hkl 1 0 10, d 2.664, 2θ 33.64, rel. 38; hkl 1 1 0, d 2.259, 2θ 39.91, rel. 88; hkl 1 0 15, d 2.061, 2θ 43.93, rel. 74; hkl 1 1 10, d 1.919, 2θ 47.37, rel. 54; hkl 2 1 15, d 1.263, 2θ 75.27, rel. 29

Structure:
Lattice parameters (Å, degrees): 4.5181 4.5181 36.3691 90.00 90.00 120.00
Space group P3m1 (No. 156)
Asymmetric unit:
Na: 0.0000 0.0000 0.0000 [1 per cell]
Na: 0.0000 0.0000 0.2045 [1 per cell]
Ag: 0.0000 0.0000 0.4058 [1 per cell]
Ag: 0.0000 0.0000 0.6028 [1 per cell]
Ag: 0.0000 0.0000 0.7997 [1 per cell]
Ag: 0.3333 0.6667 0.1022 [1 per cell]
Ag: 0.3333 0.6667 0.3069 [1 per cell]
Ag: 0.3333 0.6667 0.5043 [1 per cell]
Ag: 0.3333 0.6667 0.7013 [1 per cell]
Ag: 0.3333 0.6667 0.8980 [1 per cell]
Br: 0.0000 0.0000 0.1256 [1 per cell]
Br: 0.0000 0.0000 0.3304 [1 per cell]
Br: 0.0000 0.0000 0.5271 [1 per cell]
Br: 0.0000 0.0000 0.7240 [1 per cell]
Br: 0.0000 0.0000 0.9209 [1 per cell]
Br: 0.3333 0.6667 0.0271 [1 per cell]
Br: 0.3333 0.6667 0.2320 [1 per cell]
Br: 0.3333 0.6667 0.4287 [1 per cell]
Br: 0.3333 0.6667 0.6256 [1 per cell]
Br: 0.3333 0.6667 0.8224 [1 per cell]

---

No. 3
Structure and simulated X-ray powder pattern of CaGaGe2O6 (a DFT-relaxed cell (PBE, Alexandria); Cu Ka).
Lines closer than 0.1° are merged.

Top 8 peaks for 10 to 90 degrees two-theta, by angle:
hkl 0 2 1, d 3.698, 2θ 24.07, rel. 62; hkl 2 2 0, d 3.403, 2θ 26.19, rel. 100; hkl 3 1 -1, d 3.239, 2θ 27.54, rel. 27; hkl 3 1 0, d 2.988, 2θ 29.91, rel. 69; hkl 0 0 2, d 2.805, 2θ 31.91, rel. 30; hkl 4 0 -2, d 2.366, 2θ 38.03, rel. 27; hkl 2 4 -1, d 2.182, 2θ 41.38, rel. 23; hkl 2 4 1, d 1.906, 2θ 47.70, rel. 28

Structure:
Lattice parameters (Å, degrees): 10.3998 9.8354 6.2005 90.00 115.23 90.00
Space group C2/c (No. 15)
Asymmetric unit:
Ca: 0.0000 0.1237 0.2500 [4 per cell]
Ga: 0.0000 0.2134 0.7500 [4 per cell]
Ge: 0.1904 0.4297 0.1903 [8 per cell]
O: 0.1081 0.2688 0.0625 [8 per cell]
O: 0.1145 0.0868 0.6753 [8 per cell]
O: 0.1561 0.4423 0.4609 [8 per cell]